MgVMoO5: simulated powder diffraction line list (λ = 1.5418 Å (Cu Kα)), based on a structure optimized by DFT (PBE+U).
Peak positions follow from Bragg's law for the DFT cell and can differ from measured ones.

Crystal structure
```
data_MgVMoO5
_space_group_name_H-M_alt 'C 1 m 1'
_space_group_IT_number 8
_cell_length_a 9.9127
_cell_length_b 3.9762
_cell_length_c 6.3778
_cell_angle_alpha 90.00
_cell_angle_beta 128.01
_cell_angle_gamma 90.00
loop_
_space_group_symop_operation_xyz
'x,y,z'
'x,-y,z'
'x+1/2,y+1/2,z'
'x+1/2,-y+1/2,z'
loop_
_atom_site_label
_atom_site_type_symbol
_atom_site_fract_x
_atom_site_fract_y
_atom_site_fract_z
Mg1 Mg 0.0000 0.0000 0.0000
V1 V 0.3211 0.5000 0.3772
Mo1 Mo 0.1202 0.5000 0.7543
O1 O 0.0710 0.0000 0.7413
O2 O 0.0738 0.5000 0.0316
O3 O 0.2395 0.5000 0.6216
O4 O 0.3609 0.0000 0.4518
O5 O 0.3606 0.5000 0.1209
```

Top 12 peaks for 2θ from 5° to 70°, sorted by position:
2θ/deg  d (Å)  I (rel.)  (hkl)
17.65  5.025  34  0 0 1
18.27  4.856  77  2 0 -1
25.13  3.543  100  1 1 0
26.42  3.374  28  1 1 -1
28.00  3.187  43  2 0 -2
34.82  2.577  19  1 1 1
35.48  2.530  22  3 1 -1
36.83  2.440  50  2 0 1
44.59  2.032  29  4 0 -3
45.63  1.988  34  0 2 0
55.00  1.669  20  5 1 -3
60.02  1.541  21  2 2 1

***

MgV5Mo5O25: simulated powder diffraction line list (λ = 1.5418 Å (Cu Kα)), based on a structure optimized by DFT (PBE+U).
Peak positions follow from Bragg's law for the DFT cell and can differ from measured ones.

Crystal structure
```
data_MgV5Mo5O25
_space_group_name_H-M_alt 'P 1'
_space_group_IT_number 1
_cell_length_a 5.4813
_cell_length_b 6.6240
_cell_length_c 13.7187
_cell_angle_alpha 101.74
_cell_angle_beta 93.40
_cell_angle_gamma 103.95
loop_
_space_group_symop_operation_xyz
'x,y,z'
loop_
_atom_site_label
_atom_site_type_symbol
_atom_site_fract_x
_atom_site_fract_y
_atom_site_fract_z
Mg1 Mg 0.0000 0.0000 0.0000
V1 V 0.0719 0.0257 0.7654
V2 V 0.0745 0.8461 0.1954
V3 V 0.4783 0.8294 0.5692
V4 V 0.6489 0.0259 0.3843
V5 V 0.6506 0.2158 0.9467
Mo1 Mo 0.2511 0.4196 0.1599
Mo2 Mo 0.2766 0.2454 0.5860
Mo3 Mo 0.4912 0.6581 0.9942
Mo4 Mo 0.8519 0.6103 0.3670
Mo5 Mo 0.8840 0.4535 0.7848
O1 O 0.0136 0.5460 0.2380
O2 O 0.1215 0.7062 0.4537
O3 O 0.1327 0.3067 0.7184
O4 O 0.1534 0.1310 0.1526
O5 O 0.2037 0.5733 0.9081
O6 O 0.2509 0.0831 0.8829
O7 O 0.2593 0.9780 0.6516
O8 O 0.3122 0.7092 0.1164
O9 O 0.3642 0.5199 0.5750
O10 O 0.3901 0.9601 0.3007
O11 O 0.4458 0.3769 0.0468
O12 O 0.4865 0.0930 0.5107
O13 O 0.4987 0.4925 0.2560
O14 O 0.6251 0.9244 0.9479
O15 O 0.6280 0.7538 0.4389
O16 O 0.6431 0.3558 0.6847
O17 O 0.6723 0.4828 0.8906
O18 O 0.7414 0.9013 0.6490
O19 O 0.7603 0.3362 0.3785
O20 O 0.8186 0.1634 0.8284
O21 O 0.8339 0.7638 0.0751
O22 O 0.8736 0.8841 0.3068
O23 O 0.9184 0.3032 0.0345
O24 O 0.9771 0.7246 0.7707
O25 O 0.9984 0.1500 0.5035
```

Top 12 peaks for 2θ from 5° to 70°, sorted by position:
2θ/deg  d (Å)  I (rel.)  (hkl)
14.20  6.239  48  0 1 -1
22.62  3.930  100  1 0 2
23.94  3.717  33  -1 1 2
24.65  3.612  58  1 0 -3
26.92  3.312  28  1 1 1
28.63  3.118  46  0 2 -2
30.92  2.892  36  -1 2 1
32.57  2.749  22  1 1 -4
33.58  2.669  20  0 0 5
43.55  2.078  26  0 3 -3
46.20  1.965  20  2 0 4
47.45  1.916  24  -2 1 5

***

MgVMoO5: simulated powder diffraction line list (λ = 1.5418 Å (Cu Kα)), based on a structure optimized by DFT (PBE+U).
Peak positions follow from Bragg's law for the DFT cell and can differ from measured ones.

Crystal structure
```
data_MgVMoO5
_space_group_name_H-M_alt 'C 1 m 1'
_space_group_IT_number 8
_cell_length_a 9.9883
_cell_length_b 3.9796
_cell_length_c 6.8340
_cell_angle_alpha 90.00
_cell_angle_beta 132.88
_cell_angle_gamma 90.00
loop_
_space_group_symop_operation_xyz
'x,y,z'
'x,-y,z'
'x+1/2,y+1/2,z'
'x+1/2,-y+1/2,z'
loop_
_atom_site_label
_atom_site_type_symbol
_atom_site_fract_x
_atom_site_fract_y
_atom_site_fract_z
Mg1 Mg 0.0000 0.0000 0.0000
V1 V 0.1483 0.5000 0.3936
Mo1 Mo 0.4939 0.0000 0.6482
O1 O 0.0633 0.5000 0.0330
O2 O 0.1959 0.0000 0.4073
O3 O 0.2313 0.5000 0.7682
O4 O 0.4334 0.0000 0.2888
O5 O 0.4378 0.5000 0.6436
```

Top 12 peaks for 2θ from 5° to 70°, sorted by position:
2θ/deg  d (Å)  I (rel.)  (hkl)
17.74  5.000  100  0 0 1
24.32  3.659  54  2 0 0
25.48  3.496  96  1 1 0
25.91  3.439  53  1 1 -1
26.08  3.417  40  2 0 -2
35.83  2.506  40  1 1 1
36.78  2.444  37  3 1 -2
39.27  2.294  36  4 0 -1
41.46  2.178  47  2 0 -3
45.59  1.990  40  0 2 0
57.08  1.614  26  5 1 -1
63.32  1.469  26  2 2 -3

***

MgV5Mo5O25: simulated powder diffraction line list (λ = 1.5418 Å (Cu Kα)), based on a structure optimized by DFT (PBE+U).
Peak positions follow from Bragg's law for the DFT cell and can differ from measured ones.

Crystal structure
```
data_MgV5Mo5O25
_space_group_name_H-M_alt 'P 1'
_space_group_IT_number 1
_cell_length_a 5.5620
_cell_length_b 6.3919
_cell_length_c 14.1948
_cell_angle_alpha 77.40
_cell_angle_beta 83.97
_cell_angle_gamma 79.38
loop_
_space_group_symop_operation_xyz
'x,y,z'
loop_
_atom_site_label
_atom_site_type_symbol
_atom_site_fract_x
_atom_site_fract_y
_atom_site_fract_z
Mg1 Mg 0.0000 0.0000 0.0000
V1 V 0.1378 0.3695 0.4175
V2 V 0.2747 0.7411 0.8339
V3 V 0.6408 0.7143 0.0481
V4 V 0.6965 0.3635 0.2390
V5 V 0.8099 0.7350 0.6492
Mo1 Mo 0.0244 0.3511 0.8094
Mo2 Mo 0.3614 0.7686 0.4578
Mo3 Mo 0.4313 0.3241 0.0048
Mo4 Mo 0.5836 0.3335 0.6104
Mo5 Mo 0.9419 0.7686 0.2518
O1 O 0.0154 0.6774 0.7599
O2 O 0.0371 0.7361 0.5601
O3 O 0.1300 0.0289 0.8590
O4 O 0.1366 0.6947 0.3686
O5 O 0.1581 0.2244 0.0511
O6 O 0.1579 0.7848 0.1527
O7 O 0.2471 0.0518 0.4432
O8 O 0.3004 0.4139 0.8704
O9 O 0.3264 0.3146 0.6946
O10 O 0.3976 0.4183 0.4966
O11 O 0.4100 0.6648 0.9656
O12 O 0.4502 0.3450 0.3152
O13 O 0.5128 0.7767 0.7529
O14 O 0.5380 0.6903 0.5720
O15 O 0.6047 0.4052 0.1062
O16 O 0.6131 0.7684 0.3727
O17 O 0.6302 0.0318 0.0331
O18 O 0.6911 0.6892 0.1882
O19 O 0.7075 0.0554 0.6202
O20 O 0.7847 0.3509 0.9026
O21 O 0.8062 0.4110 0.6922
O22 O 0.8442 0.0569 0.2458
O23 O 0.8984 0.3707 0.5004
O24 O 0.9198 0.6962 0.9899
O25 O 0.9618 0.4314 0.2995
```

Top 12 peaks for 2θ from 5° to 70°, sorted by position:
2θ/deg  d (Å)  I (rel.)  (hkl)
14.40  6.151  32  0 1 0
14.52  6.099  18  0 1 1
21.42  4.148  100  1 0 -2
24.43  3.643  30  1 0 3
24.79  3.592  43  1 1 3
25.96  3.432  22  -1 1 2
29.03  3.076  37  0 2 0
31.77  2.817  27  1 -1 3
32.39  2.764  21  0 0 5
32.60  2.747  20  1 2 3
44.17  2.050  18  0 3 0
48.09  1.892  22  2 1 6

***

YMgMo3O8: simulated powder diffraction line list (λ = 1.5418 Å (Cu Kα)), based on a structure optimized by DFT (PBE+U).
Peak positions follow from Bragg's law for the DFT cell and can differ from measured ones.

Crystal structure
```
data_YMgMo3O8
_space_group_name_H-M_alt 'P 1'
_space_group_IT_number 1
_cell_length_a 5.4656
_cell_length_b 6.3203
_cell_length_c 6.5506
_cell_angle_alpha 117.86
_cell_angle_beta 114.47
_cell_angle_gamma 91.12
loop_
_space_group_symop_operation_xyz
'x,y,z'
loop_
_atom_site_label
_atom_site_type_symbol
_atom_site_fract_x
_atom_site_fract_y
_atom_site_fract_z
Y1 Y 0.0000 0.0000 0.0000
Mg1 Mg 0.7455 0.2686 0.5277
Mo1 Mo 0.2743 0.0525 0.6006
Mo2 Mo 0.2804 0.5576 0.6007
Mo3 Mo 0.3026 0.5634 0.1167
O1 O 0.0089 0.2025 0.3791
O2 O 0.0411 0.1999 0.8161
O3 O 0.0435 0.6219 0.8104
O4 O 0.0747 0.6586 0.3349
O5 O 0.4492 0.9397 0.3354
O6 O 0.4606 0.4147 0.3449
O7 O 0.4934 0.4436 0.8541
O8 O 0.5405 0.9033 0.8198
```

Top 12 peaks for 2θ from 5° to 70°, sorted by position:
2θ/deg  d (Å)  I (rel.)  (hkl)
18.50  4.797  100  1 0 0
27.82  3.207  16  1 -1 1
27.99  3.188  21  1 1 0
30.93  2.891  38  1 0 -2
33.25  2.694  33  0 2 0
33.54  2.672  50  0 2 -2
34.23  2.620  22  1 2 -2
37.21  2.416  39  2 0 -2
42.50  2.127  19  1 -2 2
42.62  2.121  18  1 2 0
56.69  1.624  20  1 2 -4
58.43  1.580  14  0 4 -2

***

YMgMo3O8: simulated powder diffraction line list (λ = 1.5418 Å (Cu Kα)), based on a structure optimized by DFT (PBE+U).
Peak positions follow from Bragg's law for the DFT cell and can differ from measured ones.

Crystal structure
```
data_YMgMo3O8
_space_group_name_H-M_alt 'C 1 2/m 1'
_space_group_IT_number 12
_cell_length_a 10.3687
_cell_length_b 6.4087
_cell_length_c 5.1404
_cell_angle_alpha 90.00
_cell_angle_beta 92.16
_cell_angle_gamma 90.00
loop_
_space_group_symop_operation_xyz
'x,y,z'
'-x,-y,-z'
'-x,y,-z'
'x,-y,z'
'x+1/2,y+1/2,z'
'-x+1/2,-y+1/2,-z'
'-x+1/2,y+1/2,-z'
'x+1/2,-y+1/2,z'
loop_
_atom_site_label
_atom_site_type_symbol
_atom_site_fract_x
_atom_site_fract_y
_atom_site_fract_z
Y1 Y 0.0000 0.0000 0.0000
Mg1 Mg 0.0000 0.5000 0.0000
Mo1 Mo 0.0000 0.5000 0.5000
Mo2 Mo 0.2500 0.2500 0.5000
O1 O 0.0851 0.2730 0.2477
O2 O 0.1673 0.0000 0.6854
O3 O 0.1721 0.5000 0.7266
```

Top 12 peaks for 2θ from 5° to 70°, sorted by position:
2θ/deg  d (Å)  I (rel.)  (hkl)
17.26  5.137  61  0 0 1
23.56  3.776  37  1 1 -1
23.93  3.718  39  2 0 -1
24.04  3.702  38  1 1 1
24.86  3.581  32  2 0 1
32.88  2.724  100  2 2 0
34.63  2.590  33  4 0 0
37.04  2.427  35  2 2 -1
48.20  1.888  51  2 2 -2
49.02  1.858  29  4 0 -2
49.23  1.851  38  2 2 2
60.94  1.520  27  6 2 0